(1)
This entry pairs a crystal structure of VI2 with its computed X-ray powder pattern. Radiation: Cu Kα, 1.54184 Å. Structure: a structure optimized by DFT (PBE).
Neutral-atom scattering factors, no anomalous dispersion.

Cell and atoms:
abc: 4.1127 4.1127 7.1424
angles: 90.00 90.00 120.00
Space group P-3m1 (No. 164)
Inequivalent atoms, fractional coordinates:
V1 0.0000 0.0000 0.0000
I1 0.3333 0.6667 0.7799

Peak list (10 most intense, 10 to 90 degrees two-theta, sorted by position)
(0 0 1), 12.4°, intensity 245
(0 0 2), 25.0°, intensity 239
(1 0 1), 28.0°, intensity 1000
(1 0 2), 35.6°, intensity 388
(1 1 0), 44.0°, intensity 279
(0 1 3), 45.9°, intensity 310
(1 1 2), 51.3°, intensity 146
(0 2 1), 53.0°, intensity 164
(2 1 1), 71.3°, intensity 135
(2 1 2), 75.4°, intensity 112

(2)
This entry pairs a crystal structure of WI2 with its computed X-ray powder pattern. Radiation: Cu Kα, 1.54184 Å. Structure: a structure optimized by DFT (PBE).
Neutral-atom scattering factors, no anomalous dispersion.

Cell and atoms:
abc: 17.3833 12.8473 12.9395
angles: 90.00 90.00 90.00
Space group Cmce (No. 64)
Inequivalent atoms, fractional coordinates:
W1 0.0000 0.0665 0.1311
W2 0.0000 0.1320 0.9339
W3 0.1090 0.0000 0.0000
I1 0.0000 0.1573 0.3412
I2 0.1141 0.0698 0.7930
I3 0.1141 0.2086 0.0690
I4 0.2276 0.0000 0.5000

Peak list (10 most intense, 10 to 90 degrees two-theta, sorted by position)
(2 0 0), 10.2°, intensity 410
(1 1 1), 11.0°, intensity 1000
(0 0 2), 13.7°, intensity 182
(2 0 4), 29.4°, intensity 69
(4 2 3), 32.4°, intensity 80
(5 1 4), 38.7°, intensity 71
(2 2 5), 38.9°, intensity 69
(8 0 0), 41.6°, intensity 76
(5 1 5), 44.2°, intensity 78
(5 5 1), 44.4°, intensity 93

(3)
This entry pairs a crystal structure of YI3 with its computed X-ray powder pattern. Radiation: Cu Kα, 1.54184 Å. Structure: a structure optimized by DFT (PBE).
Neutral-atom scattering factors, no anomalous dispersion.

Cell and atoms:
abc: 7.7069 7.7069 22.6737
angles: 90.00 90.00 120.00
Space group R-3 (No. 148, hexagonal axes)
Inequivalent atoms, fractional coordinates:
Y1 0.0000 0.0000 0.1664
I1 0.0006 0.3571 0.4218

Peak list (10 most intense, 10 to 90 degrees two-theta, sorted by position)
(0 0 3), 11.7°, intensity 165
(0 0 6), 23.5°, intensity 155
(1 1 3), 26.0°, intensity 1000
(1 1 6), 33.2°, intensity 384
(3 0 0), 40.5°, intensity 277
(2 -1 9), 42.9°, intensity 274
(3 0 6), 47.4°, intensity 117
(4 -2 3), 48.8°, intensity 155
(3 0 12), 64.7°, intensity 121
(1 4 3), 65.2°, intensity 111

(4)
This entry pairs a crystal structure of YI with its computed X-ray powder pattern. Radiation: Cu Kα, 1.54184 Å. Structure: a structure optimized by DFT (PBE).
Neutral-atom scattering factors, no anomalous dispersion.

Cell and atoms:
abc: 3.9560 3.9560 11.0795
angles: 90.00 90.00 120.00
Space group P-3m1 (No. 164)
Inequivalent atoms, fractional coordinates:
Y1 0.3333 0.6667 0.3733
I1 0.3333 0.6667 0.8200

Peak list (10 most intense, 10 to 90 degrees two-theta, sorted by position)
(0 0 2), 16.0°, intensity 196
(1 0 0), 26.0°, intensity 321
(1 0 2), 30.7°, intensity 1000
(0 1 3), 35.7°, intensity 172
(0 1 4), 41.9°, intensity 230
(1 1 0), 45.9°, intensity 268
(1 0 5), 48.9°, intensity 126
(0 2 2), 56.2°, intensity 174
(1 1 5), 63.0°, intensity 115
(2 1 2), 75.4°, intensity 144

Repeat the first record exactly.
This entry pairs a crystal structure of VI2 with its computed X-ray powder pattern. Radiation: Cu Kα, 1.54184 Å. Structure: a structure optimized by DFT (PBE).
Neutral-atom scattering factors, no anomalous dispersion.

Cell and atoms:
abc: 4.1127 4.1127 7.1424
angles: 90.00 90.00 120.00
Space group P-3m1 (No. 164)
Inequivalent atoms, fractional coordinates:
V1 0.0000 0.0000 0.0000
I1 0.3333 0.6667 0.7799

Peak list (10 most intense, 10 to 90 degrees two-theta, sorted by position)
(0 0 1), 12.4°, intensity 245
(0 0 2), 25.0°, intensity 239
(1 0 1), 28.0°, intensity 1000
(1 0 2), 35.6°, intensity 388
(1 1 0), 44.0°, intensity 279
(0 1 3), 45.9°, intensity 310
(1 1 2), 51.3°, intensity 146
(0 2 1), 53.0°, intensity 164
(2 1 1), 71.3°, intensity 135
(2 1 2), 75.4°, intensity 112